# 1
ZnSiN2: simulated X-ray diffraction stick pattern (a wavelength of 1.5418 Å), based on a DFT-relaxed cell (PBE, the Materials Project).

Largest 6 diffraction maxima, low angle first, 10° ≤ 2θ ≤ 90°:
Position (°2θ), I (rel.)
32.38, 100
36.61, 34
45.26, 22
57.77, 14
60.53, 12
67.80, 11

Structural model:
abc: 6.4371 6.4371 5.6380
angles: 90.00 90.00 129.15
Positions (direct):
1 Zn 0.1715 0.8285 0.9290
2 Zn 0.3285 0.6715 0.4290
3 Zn 0.6715 0.3285 0.5710
4 Zn 0.8285 0.1715 0.0710
5 Si 0.0797 0.9203 0.3657
6 Si 0.4203 0.5797 0.8657
7 Si 0.5797 0.4203 0.1343
8 Si 0.9203 0.0797 0.6343
9 N 0.0682 0.9318 0.6699
10 N 0.0922 0.4078 0.7500
11 N 0.4078 0.0922 0.2500
12 N 0.4318 0.5682 0.1699
13 N 0.5682 0.4318 0.8301
14 N 0.5922 0.9078 0.7500
15 N 0.9078 0.5922 0.2500
16 N 0.9318 0.0682 0.3301

# 2
ZnSi7N10: simulated X-ray diffraction stick pattern (a wavelength of 1.5418 Å), based on a DFT-relaxed cell (PBE, the Materials Project).

Largest 6 diffraction maxima, low angle first, 10° ≤ 2θ ≤ 90°:
Position (°2θ), I (rel.)
15.90, 74
19.45, 100
25.81, 84
28.95, 40
32.19, 42
39.65, 32

Structural model:
abc: 6.7004 6.9119 9.7055
angles: 90.00 103.79 90.00
Positions (direct):
1 Zn 0.0000 0.0752 0.0000
2 Zn 0.0000 0.9248 0.5000
3 Si 0.1478 0.4004 0.8961
4 Si 0.1478 0.5996 0.3961
5 Si 0.3371 0.3784 0.2047
6 Si 0.3371 0.6216 0.7047
7 Si 0.3902 0.0185 0.8453
8 Si 0.3902 0.9815 0.3453
9 Si 0.5211 0.3688 0.5088
10 Si 0.5211 0.6312 0.0088
11 Si 0.5842 0.0170 0.1479
12 Si 0.5842 0.9830 0.6479
13 Si 0.6971 0.3658 0.8136
14 Si 0.6971 0.6342 0.3136
15 Si 0.8845 0.3835 0.1292
16 Si 0.8845 0.6165 0.6292
17 N 0.1130 0.4311 0.2562
18 N 0.1130 0.5689 0.7562
19 N 0.1867 0.1545 0.8697
20 N 0.1867 0.8455 0.3697
21 N 0.3255 0.4914 0.0448
22 N 0.3255 0.5086 0.5448
23 N 0.3653 0.1312 0.1929
24 N 0.3653 0.8688 0.6929
25 N 0.4875 0.1218 0.4961
26 N 0.4875 0.8782 0.9961
27 N 0.5319 0.4596 0.3441
28 N 0.5319 0.5404 0.8441
29 N 0.5979 0.1364 0.7956
30 N 0.5979 0.8636 0.2956
31 N 0.7341 0.4197 0.6461
32 N 0.7341 0.5803 0.1461
33 N 0.7950 0.1476 0.1276
34 N 0.7950 0.8524 0.6276
35 N 0.9175 0.3930 0.9513
36 N 0.9175 0.6070 0.4513

# 3
Zn7SiN6: simulated X-ray diffraction stick pattern (a wavelength of 1.5418 Å), based on a DFT-relaxed cell (PBE, the Materials Project).

Largest 6 diffraction maxima, low angle first, 10° ≤ 2θ ≤ 90°:
Position (°2θ), I (rel.)
29.72, 63
31.68, 43
33.48, 84
35.26, 100
37.55, 63
39.60, 33

Structural model:
abc: 10.1886 5.5579 12.5838
angles: 90.00 90.00 90.00
Positions (direct):
1 Zn 0.0000 0.0779 0.2500
2 Zn 0.0000 0.9221 0.7500
3 Zn 0.0160 0.2265 0.0409
4 Zn 0.0160 0.7735 0.5409
5 Zn 0.2134 0.2219 0.5793
6 Zn 0.2134 0.7781 0.0793
7 Zn 0.2386 0.1405 0.8452
8 Zn 0.2386 0.8595 0.3452
9 Zn 0.2614 0.3595 0.3452
10 Zn 0.2614 0.6405 0.8452
11 Zn 0.2866 0.2781 0.0793
12 Zn 0.2866 0.7219 0.5793
13 Zn 0.4840 0.2735 0.5409
14 Zn 0.4840 0.7265 0.0409
15 Zn 0.5000 0.4221 0.7500
16 Zn 0.5000 0.5779 0.2500
17 Zn 0.5160 0.2735 0.9591
18 Zn 0.5160 0.7265 0.4591
19 Zn 0.7134 0.2781 0.4207
20 Zn 0.7134 0.7219 0.9207
21 Zn 0.7386 0.3595 0.1548
22 Zn 0.7386 0.6405 0.6548
23 Zn 0.7614 0.1405 0.6548
24 Zn 0.7614 0.8595 0.1548
25 Zn 0.7866 0.2219 0.9207
26 Zn 0.7866 0.7781 0.4207
27 Zn 0.9840 0.2265 0.4591
28 Zn 0.9840 0.7735 0.9591
29 Si 0.0000 0.4163 0.7500
30 Si 0.0000 0.5837 0.2500
31 Si 0.5000 0.0837 0.2500
32 Si 0.5000 0.9163 0.7500
33 N 0.0649 0.3783 0.3435
34 N 0.0649 0.6217 0.8435
35 N 0.1272 0.2130 0.7175
36 N 0.1272 0.7870 0.2175
37 N 0.1679 0.0681 0.9895
38 N 0.1679 0.9319 0.4895
39 N 0.3321 0.4319 0.4895
40 N 0.3321 0.5681 0.9895
41 N 0.3728 0.2870 0.2175
42 N 0.3728 0.7130 0.7175
43 N 0.4351 0.1217 0.8435
44 N 0.4351 0.8783 0.3435
45 N 0.5649 0.1217 0.6565
46 N 0.5649 0.8783 0.1565
47 N 0.6272 0.2870 0.2825
48 N 0.6272 0.7130 0.7825
49 N 0.6679 0.4319 0.0105
50 N 0.6679 0.5681 0.5105
51 N 0.8321 0.0681 0.5105
52 N 0.8321 0.9319 0.0105
53 N 0.8728 0.2130 0.7825
54 N 0.8728 0.7870 0.2825
55 N 0.9351 0.3783 0.1565
56 N 0.9351 0.6217 0.6565

Copy entry 2 word for word.
ZnSi7N10: simulated X-ray diffraction stick pattern (a wavelength of 1.5418 Å), based on a DFT-relaxed cell (PBE, the Materials Project).

Largest 6 diffraction maxima, low angle first, 10° ≤ 2θ ≤ 90°:
Position (°2θ), I (rel.)
15.90, 74
19.45, 100
25.81, 84
28.95, 40
32.19, 42
39.65, 32

Structural model:
abc: 6.7004 6.9119 9.7055
angles: 90.00 103.79 90.00
Positions (direct):
1 Zn 0.0000 0.0752 0.0000
2 Zn 0.0000 0.9248 0.5000
3 Si 0.1478 0.4004 0.8961
4 Si 0.1478 0.5996 0.3961
5 Si 0.3371 0.3784 0.2047
6 Si 0.3371 0.6216 0.7047
7 Si 0.3902 0.0185 0.8453
8 Si 0.3902 0.9815 0.3453
9 Si 0.5211 0.3688 0.5088
10 Si 0.5211 0.6312 0.0088
11 Si 0.5842 0.0170 0.1479
12 Si 0.5842 0.9830 0.6479
13 Si 0.6971 0.3658 0.8136
14 Si 0.6971 0.6342 0.3136
15 Si 0.8845 0.3835 0.1292
16 Si 0.8845 0.6165 0.6292
17 N 0.1130 0.4311 0.2562
18 N 0.1130 0.5689 0.7562
19 N 0.1867 0.1545 0.8697
20 N 0.1867 0.8455 0.3697
21 N 0.3255 0.4914 0.0448
22 N 0.3255 0.5086 0.5448
23 N 0.3653 0.1312 0.1929
24 N 0.3653 0.8688 0.6929
25 N 0.4875 0.1218 0.4961
26 N 0.4875 0.8782 0.9961
27 N 0.5319 0.4596 0.3441
28 N 0.5319 0.5404 0.8441
29 N 0.5979 0.1364 0.7956
30 N 0.5979 0.8636 0.2956
31 N 0.7341 0.4197 0.6461
32 N 0.7341 0.5803 0.1461
33 N 0.7950 0.1476 0.1276
34 N 0.7950 0.8524 0.6276
35 N 0.9175 0.3930 0.9513
36 N 0.9175 0.6070 0.4513